Entry 1:
For Nb2S3, a structure optimized by DFT (PBE) gives the simulated XRD peak list in this record (Cu Kα X-rays).
Lines closer than 0.1° are merged.

Crystal structure
Lattice parameters (Å, degrees): 6.9351 9.8135 21.4786 90.00 90.00 90.00
Space group Fddd (No. 70, origin choice 2)
Inequivalent atoms, fractional coordinates:
Nb (0.1250, 0.1250, 0.0598) x16
Nb (0.1250, 0.1250, 0.3776) x16
S (0.0851, 0.3750, 0.8750) x16
S (0.1156, 0.3743, 0.2110) x32

Top 6 peaks for 2θ from 10° to 80°, by angle:
| h k l | 2theta | I (rel.) |
| --- | --- | --- |
| 1 1 1 | 16.18 | 70 |
| 0 0 4 | 16.51 | 38 |
| 2 2 4 | 35.85 | 27 |
| 2 0 6 | 36.06 | 100 |
| 0 4 0 | 36.63 | 58 |
| 2 4 6 | 52.34 | 65 |

=====

Entry 2:
For NbS2, a structure optimized by DFT (PBE) gives the simulated XRD peak list in this record (Cu Kα X-rays).
Lines closer than 0.1° are merged.

Crystal structure
Lattice parameters (Å, degrees): 3.3491 23.1786 5.8008 90.00 90.00 90.00
Space group Fmm2 (No. 42)
Inequivalent atoms, fractional coordinates:
Nb (0.0000, 0.0000, 0.0000) x4
S (0.0000, 0.0676, 0.6667) x8

Top 6 peaks for 2θ from 10° to 80°, by angle:
| h k l | 2theta | I (rel.) |
| --- | --- | --- |
| 0 4 0 | 15.29 | 100 |
| 1 1 1 | 31.07 | 66 |
| 1 3 1 | 32.99 | 61 |
| 1 5 1 | 36.54 | 81 |
| 0 6 2 | 38.83 | 49 |
| 1 7 1 | 41.38 | 80 |

=====

Entry 3:
For NbSeS, a structure optimized by DFT (PBE) gives the simulated XRD peak list in this record (Cu Kα X-rays).
Lines closer than 0.1° are merged.

Crystal structure
Lattice parameters (Å, degrees): 3.4064 23.6828 5.8767 90.00 90.00 90.00
Space group Ama2 (No. 40)
Inequivalent atoms, fractional coordinates:
Nb (0.2500, 0.2498, 0.0000) x4
Se (0.2500, 0.1764, 0.3343) x4
S (0.2500, 0.3137, 0.3337) x4

Top 6 peaks for 2θ from 10° to 80°, by angle:
| h k l | 2theta | I (rel.) |
| --- | --- | --- |
| 0 4 0 | 14.96 | 53 |
| 1 1 1 | 30.57 | 68 |
| 1 5 1 | 35.89 | 90 |
| 0 6 2 | 38.18 | 53 |
| 1 7 1 | 40.60 | 100 |
| 1 1 3 | 54.15 | 51 |

=====

Entry 4:
For NbTl3Se2S2, a structure optimized by DFT (PBE) gives the simulated XRD peak list in this record (Cu Kα X-rays).
Lines closer than 0.1° are merged.

Crystal structure
Lattice parameters (Å, degrees): 11.0070 11.2930 7.9175 90.00 90.00 90.00
Space group Fmm2 (No. 42)
Inequivalent atoms, fractional coordinates:
Nb (0.0000, 0.0000, 0.0000) x4
Tl (0.0000, 0.0000, 0.4920) x4
Tl (0.2500, 0.2500, 0.0305) x8
Se (0.0000, 0.1789, 0.8268) x8
S (0.1677, 0.0000, 0.1701) x8

Top 6 peaks for 2θ from 10° to 80°, by angle:
| h k l | 2theta | I (rel.) |
| --- | --- | --- |
| 0 0 2 | 22.46 | 30 |
| 2 2 0 | 22.56 | 64 |
| 0 4 0 | 31.69 | 23 |
| 2 2 2 | 32.05 | 100 |
| 4 0 0 | 32.54 | 28 |
| 0 4 2 | 39.19 | 23 |

=====

Entry 5:
For Nb3SnS6, a structure optimized by DFT (PBE) gives the simulated XRD peak list in this record (Cu Kα X-rays).
Lines closer than 0.1° are merged.

Crystal structure
Lattice parameters (Å, degrees): 5.8232 5.8232 14.5175 90.00 90.00 120.00
Space group P6_3/mcm (No. 193)
Inequivalent atoms, fractional coordinates:
Nb (0.0000, 0.0000, 0.2500) x2
Nb (0.3333, 0.6667, 0.2500) x4
Sn (0.0000, 0.0000, 0.0000) x2
S (0.0000, 0.3356, 0.1419) x12

Top 6 peaks for 2θ from 10° to 80°, by angle:
| h k l | 2theta | I (rel.) |
| --- | --- | --- |
| 0 0 2 | 12.19 | 59 |
| 1 0 0 | 17.59 | 22 |
| 1 0 2 | 21.46 | 29 |
| 1 1 0 | 30.71 | 39 |
| 1 1 4 | 39.69 | 100 |
| 3 0 0 | 54.59 | 28 |

=====

Entry 6:
For TaNbSn2S4, a structure optimized by DFT (PBE) gives the simulated XRD peak list in this record (Cu Kα X-rays).
Lines closer than 0.1° are merged.

Crystal structure
Lattice parameters (Å, degrees): 3.3393 3.3393 17.5839 90.00 90.00 120.00
Space group P-6m2 (No. 187)
Inequivalent atoms, fractional coordinates:
Ta (0.0000, 0.0000, 0.0000) x1
Nb (0.6667, 0.3333, 0.5000) x1
Sn (0.3333, 0.6667, 0.2507) x2
S (0.3333, 0.6667, 0.0885) x2
S (0.3333, 0.6667, 0.4107) x2

Top 6 peaks for 2θ from 10° to 80°, by angle:
| h k l | 2theta | I (rel.) |
| --- | --- | --- |
| 0 0 4 | 20.20 | 88 |
| 1 0 1 | 31.35 | 56 |
| 1 0 2 | 32.60 | 95 |
| 1 0 3 | 34.59 | 43 |
| 1 0 6 | 43.99 | 100 |
| 1 1 0 | 55.00 | 41 |

=====

Entry 7:
For Sr2NbS4, a structure optimized by DFT (PBE) gives the simulated XRD peak list in this record (Cu Kα X-rays).
Lines closer than 0.1° are merged.

Crystal structure
Lattice parameters (Å, degrees): 9.9626 10.3900 7.3104 90.00 90.00 90.00
Space group Ama2 (No. 40)
Inequivalent atoms, fractional coordinates:
Sr (0.0000, 0.0000, 0.0000) x4
Sr (0.2500, 0.1911, 0.5415) x4
Nb (0.2500, 0.2745, 0.0348) x4
S (0.0594, 0.2737, 0.8477) x8
S (0.2500, 0.0739, 0.1856) x4
S (0.2500, 0.4362, 0.2614) x4

Top 6 peaks for 2θ from 10° to 80°, by angle:
| h k l | 2theta | I (rel.) |
| --- | --- | --- |
| 2 1 1 | 23.24 | 44 |
| 2 2 0 | 24.76 | 32 |
| 0 3 1 | 28.52 | 50 |
| 2 2 2 | 35.01 | 100 |
| 4 0 0 | 36.06 | 31 |
| 4 3 1 | 46.60 | 24 |

=====

Entry 8:
For Ta3NbS6, a structure optimized by DFT (PBE) gives the simulated XRD peak list in this record (Cu Kα X-rays).
Lines closer than 0.1° are merged.

Crystal structure
Lattice parameters (Å, degrees): 5.7744 5.7744 12.7624 90.00 90.00 120.00
Space group P6_322 (No. 182)
Inequivalent atoms, fractional coordinates:
Ta (0.0000, 0.0000, 0.0000) x2
Ta (0.3333, 0.6667, 0.0010) x4
Nb (0.3333, 0.6667, 0.7500) x2
S (0.0018, 0.3324, 0.3763) x12

Top 6 peaks for 2θ from 10° to 80°, by angle:
| h k l | 2theta | I (rel.) |
| --- | --- | --- |
| 0 0 2 | 13.88 | 94 |
| 1 1 0 | 30.97 | 62 |
| 1 1 2 | 34.08 | 65 |
| 1 1 4 | 42.21 | 100 |
| 3 0 0 | 55.09 | 29 |
| 2 2 4 | 71.77 | 21 |